1.
Calculated powder XRD pattern of CaVNiP2O9 for copper Kα, from a cell relaxed with PBE+U.
Intensities are scaled so that the largest is 100.

Cell and atoms:
```
data_CaVNiP2O9
_chemical_formula_sum 'Ca4 V4 Ni4 P8 O36'
_cell_length_a 14.264
_cell_length_b 6.471
_cell_length_c 7.492
_cell_angle_alpha 90.00
_cell_angle_beta 90.00
_cell_angle_gamma 90.00
_space_group_name_H-M_alt 'P n m a'
_space_group_IT_number 62
loop_
_space_group_symop_operation_xyz
'x,y,z'
'-x,-y,-z'
'-x+1/2,-y,z+1/2'
'x+1/2,y,-z+1/2'
'x+1/2,-y+1/2,-z+1/2'
'-x+1/2,y+1/2,z+1/2'
'-x,y+1/2,-z'
'x,-y+1/2,z'
loop_
_atom_site_label
_atom_site_fract_x
_atom_site_fract_y
_atom_site_fract_z
Ca1 0.220 0.250 0.120
V1 0.118 0.250 0.654
Ni1 0.000 0.000 0.000
P1 0.062 0.750 0.649
P2 0.192 0.750 0.114
O1 0.014 0.250 0.493
O2 0.016 0.750 0.834
O3 0.061 0.250 0.857
O4 0.130 0.562 0.631
O5 0.132 0.552 0.107
O6 0.230 0.250 0.465
O7 0.245 0.250 0.787
```

Peak list (6 most intense, 5 to 70 degrees two-theta, most intense first)
two_theta, I (rel.)
24.6, 100.0
30.7, 46.9
13.3, 35.2
17.2, 32.1
33.6, 32.1
27.7, 31.2

2.
Calculated powder XRD pattern of CaSi2NiO6 for copper Kα, from a cell relaxed with PBE+U.
Intensities are scaled so that the largest is 100.

Cell and atoms:
```
data_CaSi2NiO6
_chemical_formula_sum 'Ca4 Si8 Ni4 O24'
_cell_length_a 9.867
_cell_length_b 8.993
_cell_length_c 5.295
_cell_angle_alpha 90.00
_cell_angle_beta 106.10
_cell_angle_gamma 90.00
_space_group_name_H-M_alt 'C 1 2/c 1'
_space_group_IT_number 15
loop_
_space_group_symop_operation_xyz
'x,y,z'
'-x,-y,-z'
'-x,y,-z+1/2'
'x,-y,z+1/2'
'x+1/2,y+1/2,z'
'-x+1/2,-y+1/2,-z'
'-x+1/2,y+1/2,-z+1/2'
'x+1/2,-y+1/2,z+1/2'
loop_
_atom_site_label
_atom_site_fract_x
_atom_site_fract_y
_atom_site_fract_z
Ca1 0.000 0.203 0.250
Si1 0.213 0.093 0.773
Ni1 0.000 0.409 0.750
O1 0.116 0.413 0.142
O2 0.139 0.250 0.679
O3 0.149 0.019 0.007
```

Peak list (6 most intense, 5 to 70 degrees two-theta, most intense first)
two_theta, I (rel.)
29.6, 100.0
35.4, 47.0
35.3, 43.9
30.0, 41.4
34.7, 40.1
13.6, 35.1

3.
Calculated powder XRD pattern of CaSi4Ni2O12 for copper Kα, from a cell relaxed with PBE+U.
Intensities are scaled so that the largest is 100.

Cell and atoms:
```
data_CaSi4Ni2O12
_chemical_formula_sum 'Ca2 Si8 Ni4 O24'
_cell_length_a 9.718
_cell_length_b 8.799
_cell_length_c 5.298
_cell_angle_alpha 90.00
_cell_angle_beta 106.97
_cell_angle_gamma 90.00
_space_group_name_H-M_alt 'C 1 2 1'
_space_group_IT_number 5
loop_
_space_group_symop_operation_xyz
'x,y,z'
'-x,y,-z'
'x+1/2,y+1/2,z'
'-x+1/2,y+1/2,-z'
loop_
_atom_site_label
_atom_site_fract_x
_atom_site_fract_y
_atom_site_fract_z
Ca1 0.000 0.000 0.000
Si1 0.208 0.290 0.020
Si2 0.210 0.108 0.531
Ni1 0.000 0.596 0.000
Ni2 0.000 0.786 0.500
O1 0.112 0.622 0.371
O2 0.115 0.783 0.896
O3 0.138 0.943 0.437
O4 0.144 0.177 0.760
O5 0.146 0.460 0.956
O6 0.152 0.207 0.251
```

Peak list (6 most intense, 5 to 70 degrees two-theta, most intense first)
two_theta, I (rel.)
29.9, 100.0
13.9, 74.0
30.6, 56.5
36.1, 45.2
35.4, 41.7
35.3, 33.1